No. 1
Diffraction record for Hf5AlGa3. The powder diffractogram is computed, not measured: it uses a cell relaxed with PBE and Cu Kα (λ = 1.5418 Å).

Largest 8 diffraction maxima, in order of rising 2θ, 2θ from 10° to 90°:
(2 2 1), 30.85 deg, I = 100.0
(2 2 -2), 32.54 deg, I = 64.1
(1 3 -1), 34.79 deg, I = 67.8
(0 2 3), 34.91 deg, I = 45.3
(4 0 -1), 37.59 deg, I = 43.2
(2 2 -3), 37.93 deg, I = 45.5
(1 3 2), 39.30 deg, I = 41.0
(2 0 4), 43.68 deg, I = 45.6

Cell and atoms:
```
data_Hf5AlGa3
_cell_length_a 9.622
_cell_length_b 8.255
_cell_length_c 9.952
_cell_angle_alpha 90.00
_cell_angle_beta 98.05
_cell_angle_gamma 90.00
_symmetry_space_group_name_H-M 'C 1 2/m 1'
_symmetry_Int_Tables_number 12
_symmetry_space_group_name_Hall '-C 2y'
loop_
_atom_site_label
_atom_site_fract_x
_atom_site_fract_y
_atom_site_fract_z
Hf1 0.000 0.175 0.000
Hf2 0.036 0.000 0.315
Hf3 0.189 0.297 0.650
Hf4 0.227 0.000 0.854
Al1 0.031 0.500 0.255
Ga1 0.000 0.500 0.000
Ga2 0.000 0.500 0.500
Ga3 0.223 0.000 0.553
Ga4 0.242 0.000 0.128
```


No. 2
Diffraction record for CsTiIn2Br6. The powder diffractogram is computed, not measured: it uses a cell relaxed with PBE and Cu Kα (λ = 1.5418 Å).

Largest 8 diffraction maxima, in order of rising 2θ, 2θ from 10° to 90°:
(-1 1 1), 15.24 deg, I = 43.5
(1 -1 1), 21.11 deg, I = 56.2
(-2 1 1), 22.13 deg, I = 26.7
(2 -1 0), 25.52 deg, I = 100.0
(0 2 -2), 30.77 deg, I = 27.7
(1 -2 2), 33.84 deg, I = 99.1
(1 2 0), 38.19 deg, I = 35.6
(-3 3 1), 38.87 deg, I = 35.5

Cell and atoms:
```
data_CsTiIn2Br6
_cell_length_a 8.017
_cell_length_b 8.043
_cell_length_c 8.431
_cell_angle_alpha 90.10
_cell_angle_beta 118.36
_cell_angle_gamma 119.87
_symmetry_space_group_name_H-M 'P 1'
_symmetry_Int_Tables_number 1
_symmetry_space_group_name_Hall 'P 1'
loop_
_atom_site_label
_atom_site_fract_x
_atom_site_fract_y
_atom_site_fract_z
Cs1 0.000 0.000 0.000
Ti1 0.972 0.486 0.458
In1 0.579 0.290 0.867
In2 0.613 0.807 0.419
Br1 0.091 0.434 0.228
Br2 0.104 0.284 0.661
Br3 0.378 0.821 0.660
Br4 0.573 0.139 0.228
Br5 0.794 0.656 0.227
Br6 0.839 0.559 0.660
```


No. 3
Diffraction record for AcAu3. The powder diffractogram is computed, not measured: it uses a cell relaxed with PBE and Cu Kα (λ = 1.5418 Å).

Largest 8 diffraction maxima, in order of rising 2θ, 2θ from 10° to 90°:
(2 0 0), 29.79 deg, I = 25.6
(2 0 1), 35.39 deg, I = 100.0
(0 0 2), 37.83 deg, I = 20.2
(2 0 2), 48.88 deg, I = 13.4
(2 2 0), 52.88 deg, I = 18.1
(4 0 1), 65.25 deg, I = 12.9
(2 0 3), 66.74 deg, I = 16.3
(2 2 2), 66.84 deg, I = 18.1

Cell and atoms:
```
data_AcAu3
_cell_length_a 6.9253
_cell_length_b 6.9253
_cell_length_c 4.7564
_cell_angle_alpha 90.00
_cell_angle_beta 90.00
_cell_angle_gamma 120.00
_symmetry_space_group_name_H-M 'P 63/m m c'
_symmetry_Int_Tables_number 194
_symmetry_space_group_name_Hall '-P 6c 2c'
loop_
_atom_site_label
_atom_site_fract_x
_atom_site_fract_y
_atom_site_fract_z
Ac1 0.3333 0.6667 0.2500
Au1 0.1475 0.2950 0.7500
```